[1]
Ba2Sn6Bi: theoretical PXRD pattern (Cu Ka), based on a cell relaxed with PBE.
Lines closer than 0.1° are merged.

Top 8 peaks for 5° ≤ 2θ ≤ 70°, by angle:
2θ = 28.3°, I 56; 2θ = 30.4°, I 58; 2θ = 31.8°, I 100; 2θ = 38.4°, I 17; 2θ = 39.7°, I 25; 2θ = 46.0°, I 24; 2θ = 51.1°, I 27; 2θ = 57.0°, I 36

Crystal structure
```
data_Ba2Sn6Bi
_cell_length_a 7.1549
_cell_length_b 7.1549
_cell_length_c 6.6887
_cell_angle_alpha 90.00
_cell_angle_beta 90.00
_cell_angle_gamma 120.00
_space_group_name_H-M_alt 'P 1'
_space_group_IT_number 1
loop_
_space_group_symop_operation_xyz
'x,y,z'
loop_
_atom_site_label
_atom_site_fract_x
_atom_site_fract_y
_atom_site_fract_z
Ba1 0.3333 0.6667 0.3520
Ba2 0.6667 0.3333 0.6480
Sn1 0.1873 0.3747 0.8445
Sn2 0.1873 0.8127 0.8445
Sn3 0.3747 0.1873 0.1555
Sn4 0.6253 0.8127 0.8445
Sn5 0.8127 0.1873 0.1555
Sn6 0.8127 0.6253 0.1555
Bi1 0.0000 0.0000 0.5000
```

[2]
Rb6SBr2O: theoretical PXRD pattern (Cu Ka), based on a cell relaxed with PBE.
Lines closer than 0.1° are merged.

Top 8 peaks for 5° ≤ 2θ ≤ 70°, by angle:
2θ = 9.9°, I 25; 2θ = 25.0°, I 59; 2θ = 26.8°, I 100; 2θ = 29.8°, I 57; 2θ = 30.3°, I 59; 2θ = 30.8°, I 29; 2θ = 33.7°, I 31; 2θ = 43.0°, I 32

Crystal structure
```
data_Rb6SBr2O
_cell_length_a 8.0771
_cell_length_b 11.8005
_cell_length_c 8.9232
_cell_angle_alpha 90.00
_cell_angle_beta 90.00
_cell_angle_gamma 90.00
_space_group_name_H-M_alt 'P 1'
_space_group_IT_number 1
loop_
_space_group_symop_operation_xyz
'x,y,z'
loop_
_atom_site_label
_atom_site_fract_x
_atom_site_fract_y
_atom_site_fract_z
Rb1 0.0138 0.2500 0.0238
Rb2 0.0160 0.7500 0.4077
Rb3 0.2500 0.0142 0.7897
Rb4 0.2500 0.4858 0.7897
Rb5 0.4840 0.7500 0.4077
Rb6 0.4862 0.2500 0.0238
Rb7 0.5138 0.7500 0.9762
Rb8 0.5160 0.2500 0.5923
Rb9 0.7500 0.5142 0.2103
Rb10 0.7500 0.9858 0.2103
Rb11 0.9840 0.2500 0.5923
Rb12 0.9862 0.7500 0.9762
S1 0.2500 0.7500 0.6994
S2 0.7500 0.2500 0.3006
Br1 0.2500 0.5422 0.1760
Br2 0.2500 0.9578 0.1760
Br3 0.7500 0.0422 0.8240
Br4 0.7500 0.4578 0.8240
O1 0.2500 0.2500 0.7860
O2 0.7500 0.7500 0.2140
```

[3]
Ac5Ge2Bi2: theoretical PXRD pattern (Cu Ka), based on a cell relaxed with PBE.
Lines closer than 0.1° are merged.

Top 8 peaks for 5° ≤ 2θ ≤ 70°, by angle:
2θ = 22.6°, I 52; 2θ = 27.6°, I 79; 2θ = 28.6°, I 64; 2θ = 29.3°, I 100; 2θ = 30.1°, I 93; 2θ = 31.1°, I 96; 2θ = 32.5°, I 78; 2θ = 32.6°, I 79

Crystal structure
```
data_Ac5Ge2Bi2
_cell_length_a 9.5162
_cell_length_b 9.5162
_cell_length_c 8.8446
_cell_angle_alpha 90.00
_cell_angle_beta 90.00
_cell_angle_gamma 55.13
_space_group_name_H-M_alt 'P 1'
_space_group_IT_number 1
loop_
_space_group_symop_operation_xyz
'x,y,z'
loop_
_atom_site_label
_atom_site_fract_x
_atom_site_fract_y
_atom_site_fract_z
Ac1 0.0000 0.0000 0.0000
Ac2 0.0359 0.7111 0.6605
Ac3 0.2111 0.5359 0.1605
Ac4 0.2889 0.9641 0.6605
Ac5 0.4641 0.7889 0.1605
Ac6 0.5000 0.5000 0.5000
Ac7 0.5359 0.2111 0.8395
Ac8 0.7111 0.0359 0.3395
Ac9 0.7889 0.4641 0.8395
Ac10 0.9641 0.2889 0.3395
Ge1 0.1443 0.8557 0.3565
Ge2 0.3557 0.6443 0.8565
Ge3 0.6443 0.3557 0.1435
Ge4 0.8557 0.1443 0.6435
Bi1 0.2040 0.2040 0.0000
Bi2 0.2960 0.2960 0.5000
Bi3 0.7040 0.7040 0.5000
Bi4 0.7960 0.7960 0.0000
```

[4]
VZn2TcP: theoretical PXRD pattern (Cu Ka), based on a cell relaxed with PBE.
Lines closer than 0.1° are merged.

Top 8 peaks for 5° ≤ 2θ ≤ 70°, by angle:
2θ = 27.9°, I 48; 2θ = 33.9°, I 100; 2θ = 38.4°, I 74; 2θ = 41.2°, I 30; 2θ = 48.1°, I 21; 2θ = 55.4°, I 24; 2θ = 57.6°, I 43; 2θ = 66.6°, I 27

Crystal structure
```
data_VZn2TcP
_cell_length_a 4.6910
_cell_length_b 4.6910
_cell_length_c 4.3773
_cell_angle_alpha 90.00
_cell_angle_beta 90.00
_cell_angle_gamma 90.00
_space_group_name_H-M_alt 'P 1'
_space_group_IT_number 1
loop_
_space_group_symop_operation_xyz
'x,y,z'
loop_
_atom_site_label
_atom_site_fract_x
_atom_site_fract_y
_atom_site_fract_z
V1 0.0000 0.0000 0.0000
Zn1 0.0000 0.5000 0.0000
Zn2 0.5000 0.0000 0.0000
Tc1 0.5000 0.5000 0.5000
P1 0.0000 0.0000 0.5000
```

[5]
SrGa3Ag3: theoretical PXRD pattern (Cu Ka), based on a cell relaxed with PBE.
Lines closer than 0.1° are merged.

Top 8 peaks for 5° ≤ 2θ ≤ 70°, by angle:
2θ = 15.0°, I 24; 2θ = 27.9°, I 15; 2θ = 33.9°, I 100; 2θ = 36.5°, I 54; 2θ = 38.0°, I 25; 2θ = 44.0°, I 45; 2θ = 47.9°, I 14; 2θ = 49.5°, I 16

Crystal structure
```
data_SrGa3Ag3
_cell_length_a 7.3666
_cell_length_b 7.3666
_cell_length_c 7.3666
_cell_angle_alpha 62.14
_cell_angle_beta 62.14
_cell_angle_gamma 62.14
_space_group_name_H-M_alt 'P 1'
_space_group_IT_number 1
loop_
_space_group_symop_operation_xyz
'x,y,z'
loop_
_atom_site_label
_atom_site_fract_x
_atom_site_fract_y
_atom_site_fract_z
Sr1 0.1263 0.1263 0.1263
Sr2 0.8737 0.8737 0.8737
Ga1 0.1871 0.5613 0.5613
Ga2 0.4387 0.4387 0.8129
Ga3 0.4387 0.8129 0.4387
Ga4 0.5613 0.1871 0.5613
Ga5 0.5613 0.5613 0.1871
Ga6 0.8129 0.4387 0.4387
Ag1 0.1789 0.1789 0.5629
Ag2 0.1789 0.5629 0.1789
Ag3 0.4371 0.8211 0.8211
Ag4 0.5629 0.1789 0.1789
Ag5 0.8211 0.4371 0.8211
Ag6 0.8211 0.8211 0.4371
```

[6]
K6ZnHg3: theoretical PXRD pattern (Cu Ka), based on a cell relaxed with PBE.
Lines closer than 0.1° are merged.

Top 8 peaks for 5° ≤ 2θ ≤ 70°, by angle:
2θ = 15.0°, I 100; 2θ = 16.2°, I 70; 2θ = 17.4°, I 73; 2θ = 17.7°, I 88; 2θ = 25.8°, I 60; 2θ = 28.7°, I 92; 2θ = 29.4°, I 77; 2θ = 31.4°, I 65

Crystal structure
```
data_K6ZnHg3
_cell_length_a 10.1170
_cell_length_b 7.3463
_cell_length_c 14.3366
_cell_angle_alpha 90.00
_cell_angle_beta 125.74
_cell_angle_gamma 90.00
_space_group_name_H-M_alt 'P 1'
_space_group_IT_number 1
loop_
_space_group_symop_operation_xyz
'x,y,z'
loop_
_atom_site_label
_atom_site_fract_x
_atom_site_fract_y
_atom_site_fract_z
K1 0.0928 0.1885 0.2742
K2 0.0928 0.3115 0.7742
K3 0.2503 0.0647 0.6010
K4 0.2503 0.4353 0.1010
K5 0.3840 0.5856 0.5635
K6 0.3840 0.9144 0.0635
K7 0.6160 0.0856 0.9365
K8 0.6160 0.4144 0.4365
K9 0.7497 0.5647 0.8990
K10 0.7497 0.9353 0.3990
K11 0.9072 0.6885 0.2258
K12 0.9072 0.8115 0.7258
Zn1 0.5000 0.0000 0.5000
Zn2 0.5000 0.5000 0.0000
Hg1 0.0000 0.0000 0.0000
Hg2 0.0000 0.5000 0.5000
Hg3 0.3243 0.7038 0.7975
Hg4 0.3243 0.7962 0.2975
Hg5 0.6757 0.2038 0.7025
Hg6 0.6757 0.2962 0.2025
```

[7]
BaCd2Bi: theoretical PXRD pattern (Cu Ka), based on a cell relaxed with PBE.
Lines closer than 0.1° are merged.

Top 8 peaks for 5° ≤ 2θ ≤ 70°, by angle:
2θ = 30.6°, I 100; 2θ = 33.8°, I 19; 2θ = 36.4°, I 32; 2θ = 50.5°, I 25; 2θ = 52.4°, I 11; 2θ = 58.5°, I 16; 2θ = 61.9°, I 27; 2θ = 63.8°, I 12

Crystal structure
```
data_BaCd2Bi
_cell_length_a 4.9410
_cell_length_b 4.9410
_cell_length_c 5.3065
_cell_angle_alpha 90.00
_cell_angle_beta 90.00
_cell_angle_gamma 90.00
_space_group_name_H-M_alt 'P 1'
_space_group_IT_number 1
loop_
_space_group_symop_operation_xyz
'x,y,z'
loop_
_atom_site_label
_atom_site_fract_x
_atom_site_fract_y
_atom_site_fract_z
Ba1 0.0000 0.0000 0.0000
Cd1 0.0000 0.5000 0.5000
Cd2 0.5000 0.0000 0.5000
Bi1 0.5000 0.5000 0.0000
```

[8]
MnNb8: theoretical PXRD pattern (Cu Ka), based on a cell relaxed with PBE.
Lines closer than 0.1° are merged.

Top 7 peaks for 5° ≤ 2θ ≤ 70°, by angle:
2θ = 25.7°, I 1; 2θ = 28.8°, I 1; 2θ = 34.2°, I 1; 2θ = 39.0°, I 100; 2θ = 54.6°, I 1; 2θ = 56.3°, I 16; 2θ = 58.0°, I 1

Crystal structure
```
data_MnNb8
_cell_length_a 7.1191
_cell_length_b 7.1191
_cell_length_c 7.1191
_cell_angle_alpha 93.02
_cell_angle_beta 93.02
_cell_angle_gamma 153.46
_space_group_name_H-M_alt 'P 1'
_space_group_IT_number 1
loop_
_space_group_symop_operation_xyz
'x,y,z'
loop_
_atom_site_label
_atom_site_fract_x
_atom_site_fract_y
_atom_site_fract_z
Mn1 0.0000 0.0000 0.0000
Nb1 0.0000 0.3308 0.3308
Nb2 0.0000 0.6692 0.6692
Nb3 0.3308 0.0000 0.3308
Nb4 0.3403 0.3403 0.6807
Nb5 0.3403 0.6597 0.0000
Nb6 0.6597 0.3403 0.0000
Nb7 0.6597 0.6597 0.3193
Nb8 0.6692 0.0000 0.6692
```